Entry 1:
# Tl3HgCl5
Calculated powder XRD pattern, Cu Kα (weighted mean of Kα1 and Kα2). Input: a cell relaxed with GGA-PBE.
Kinematic intensities with the Lorentz-polarization factor, no thermal factor.

Largest 6 diffraction maxima, in order of rising 2θ, 2θ from 15° to 90°:
d = 4.159 Å, 21.36°, I 557; d = 3.684 Å, 24.16°, I 1000; d = 3.363 Å, 26.50°, I 602; d = 2.907 Å, 30.76°, I 267; d = 2.755 Å, 32.50°, I 520; d = 2.299 Å, 39.19°, I 322

Structure:
```
data_Tl3HgCl5
_chemical_formula_sum 'Tl6 Hg2 Cl10'
_symmetry_space_group_name_H-M 'P 4/m b m'
_symmetry_Int_Tables_number 127
_symmetry_space_group_name_Hall '-P 4 2ab'
_cell_length_a 8.221
_cell_length_b 8.221
_cell_length_c 8.319
_cell_angle_alpha 90.00
_cell_angle_beta 90.00
_cell_angle_gamma 90.00
loop_
_atom_site_label
_atom_site_type_symbol
_atom_site_fract_x
_atom_site_fract_y
_atom_site_fract_z
Tl1 Tl 0.000 0.000 0.000
Tl2 Tl 0.159 0.341 0.500
Hg1 Hg 0.000 0.500 0.000
Cl1 Cl 0.000 0.000 0.500
Cl2 Cl 0.163 0.663 0.210
```



Entry 2:
# TlHgCl5
Calculated powder XRD pattern, Cu Kα (weighted mean of Kα1 and Kα2). Input: a cell relaxed with GGA-PBE.
Kinematic intensities with the Lorentz-polarization factor, no thermal factor.

Largest 6 diffraction maxima, in order of rising 2θ, 2θ from 15° to 90°:
d = 4.408 Å, 20.15°, I 552; d = 4.342 Å, 20.45°, I 467; d = 4.075 Å, 21.81°, I 1000; d = 3.741 Å, 23.79°, I 453; d = 3.289 Å, 27.11°, I 305; d = 2.771 Å, 32.31°, I 449

Structure:
```
data_TlHgCl5
_chemical_formula_sum 'Tl2 Hg2 Cl10'
_symmetry_space_group_name_H-M 'P -1'
_symmetry_Int_Tables_number 2
_cell_length_a 7.280
_cell_length_b 8.755
_cell_length_c 9.398
_cell_angle_alpha 63.30
_cell_angle_beta 70.96
_cell_angle_gamma 76.75
loop_
_symmetry_equiv_pos_as_xyz
'x,y,z'
'-x,-y,-z'
loop_
_atom_site_label
_atom_site_type_symbol
_atom_site_fract_x
_atom_site_fract_y
_atom_site_fract_z
Tl1 Tl 0.074 0.084 0.139
Hg1 Hg 0.000 0.500 0.500
Hg2 Hg 0.500 0.500 0.000
Cl1 Cl 0.154 0.679 0.823
Cl2 Cl 0.168 0.136 0.836
Cl3 Cl 0.219 0.864 0.350
Cl4 Cl 0.274 0.363 0.380
Cl5 Cl 0.453 0.240 0.009
```



Entry 3:
# Tl5Hg2Cl5
Calculated powder XRD pattern, Cu Kα (weighted mean of Kα1 and Kα2). Input: a cell relaxed with GGA-PBE.
Kinematic intensities with the Lorentz-polarization factor, no thermal factor.

Largest 6 diffraction maxima, in order of rising 2θ, 2θ from 15° to 90°:
d = 5.596 Å, 15.84°, I 425; d = 4.217 Å, 21.07°, I 1000; d = 2.886 Å, 30.99°, I 352; d = 2.798 Å, 31.99°, I 561; d = 2.783 Å, 32.16°, I 744; d = 2.626 Å, 34.15°, I 386

Structure:
```
data_Tl5Hg2Cl5
_chemical_formula_sum 'Tl10 Hg4 Cl10'
_symmetry_space_group_name_H-M 'I 4 m m'
_symmetry_Int_Tables_number 107
_symmetry_space_group_name_Hall 'I 4 -2'
_cell_length_a 11.191
_cell_length_b 11.191
_cell_length_c 7.831
_cell_angle_alpha 90.00
_cell_angle_beta 90.00
_cell_angle_gamma 90.00
loop_
_atom_site_label
_atom_site_type_symbol
_atom_site_fract_x
_atom_site_fract_y
_atom_site_fract_z
Tl1 Tl 0.000 0.000 0.000
Tl2 Tl 0.000 0.255 0.425
Hg1 Hg 0.000 0.500 0.184
Cl1 Cl 0.000 0.000 0.566
Cl2 Cl 0.183 0.183 0.174
```



Entry 4:
# UHg2Cl5
Calculated powder XRD pattern, Cu Kα (weighted mean of Kα1 and Kα2). Input: a cell relaxed with GGA-PBE.
Kinematic intensities with the Lorentz-polarization factor, no thermal factor.

Largest 6 diffraction maxima, in order of rising 2θ, 2θ from 15° to 90°:
d = 5.230 Å, 16.95°, I 1000; d = 4.876 Å, 18.19°, I 352; d = 3.698 Å, 24.06°, I 668; d = 2.582 Å, 34.74°, I 512; d = 2.339 Å, 38.49°, I 387; d = 2.117 Å, 42.70°, I 429

Structure:
```
data_UHg2Cl5
_chemical_formula_sum 'U2 Hg4 Cl10'
_symmetry_space_group_name_H-M 'C 1 m 1'
_symmetry_Int_Tables_number 8
_cell_length_a 11.821
_cell_length_b 10.459
_cell_length_c 5.512
_cell_angle_alpha 90.00
_cell_angle_beta 117.75
_cell_angle_gamma 90.00
loop_
_symmetry_equiv_pos_as_xyz
'x,y,z'
'x,-y,z'
'x+1/2,y+1/2,z'
'x+1/2,-y+1/2,z'
loop_
_atom_site_label
_atom_site_type_symbol
_atom_site_fract_x
_atom_site_fract_y
_atom_site_fract_z
U1 U 0.000 0.000 0.000
Hg1 Hg 0.000 0.500 0.244
Hg2 Hg 0.000 0.500 0.744
Cl1 Cl 0.000 0.000 0.500
Cl2 Cl 0.170 0.171 0.170
Cl3 Cl 0.330 0.330 0.830
```



Entry 5:
# V3HgCl12
Calculated powder XRD pattern, Cu Kα (weighted mean of Kα1 and Kα2). Input: a cell relaxed with GGA-PBE.
Kinematic intensities with the Lorentz-polarization factor, no thermal factor.

Largest 6 diffraction maxima, in order of rising 2θ, 2θ from 15° to 90°:
d = 5.403 Å, 16.41°, I 1000; d = 5.141 Å, 17.25°, I 575; d = 3.651 Å, 24.38°, I 330; d = 3.620 Å, 24.59°, I 419; d = 2.994 Å, 29.84°, I 463; d = 2.818 Å, 31.75°, I 346

Structure:
```
data_V3HgCl12
_chemical_formula_sum 'V18 Hg6 Cl72'
_symmetry_space_group_name_H-M 'R 3 c'
_symmetry_Int_Tables_number 161
_symmetry_space_group_name_Hall 'R 3 -2"c'
_cell_length_a 12.5385
_cell_length_b 12.5385
_cell_length_c 31.9608
_cell_angle_alpha 90.00
_cell_angle_beta 90.00
_cell_angle_gamma 120.00
loop_
_atom_site_label
_atom_site_type_symbol
_atom_site_fract_x
_atom_site_fract_y
_atom_site_fract_z
V1 V 0.0256 0.3371 0.0000
Hg1 Hg 0.0000 0.0000 0.1311
Cl1 Cl 0.0138 0.3887 0.2721
Cl2 Cl 0.1507 0.3817 0.3658
Cl3 Cl 0.1625 0.4748 0.7000
Cl4 Cl 0.2179 0.1066 0.3282
```



Entry 6:
# VHgCl4
Calculated powder XRD pattern, Cu Kα (weighted mean of Kα1 and Kα2). Input: a cell relaxed with GGA-PBE.
Kinematic intensities with the Lorentz-polarization factor, no thermal factor.

Largest 6 diffraction maxima, in order of rising 2θ, 2θ from 15° to 90°:
d = 4.784 Å, 18.55°, I 932; d = 4.311 Å, 20.60°, I 834; d = 3.924 Å, 22.66°, I 577; d = 2.979 Å, 30.00°, I 503; d = 2.938 Å, 30.43°, I 1000; d = 2.898 Å, 30.86°, I 625

Structure:
```
data_VHgCl4
_chemical_formula_sum 'V4 Hg4 Cl16'
_symmetry_space_group_name_H-M 'P n m a'
_symmetry_Int_Tables_number 62
_cell_length_a 12.490
_cell_length_b 7.442
_cell_length_c 9.941
_cell_angle_alpha 90.00
_cell_angle_beta 90.00
_cell_angle_gamma 90.00
loop_
_symmetry_equiv_pos_as_xyz
'x,y,z'
'-x,-y,-z'
'-x+1/2,-y,z+1/2'
'x+1/2,y,-z+1/2'
'x+1/2,-y+1/2,-z+1/2'
'-x+1/2,y+1/2,z+1/2'
'-x,y+1/2,-z'
'x,-y+1/2,z'
loop_
_atom_site_label
_atom_site_type_symbol
_atom_site_fract_x
_atom_site_fract_y
_atom_site_fract_z
V1 V 0.073 0.250 0.200
Hg1 Hg 0.180 0.250 0.669
Cl1 Cl 0.077 0.750 0.906
Cl2 Cl 0.084 0.015 0.324
Cl3 Cl 0.204 0.250 0.059
```



Entry 7:
# Hg2W2Cl
Calculated powder XRD pattern, Cu Kα (weighted mean of Kα1 and Kα2). Input: a cell relaxed with GGA-PBE.
Kinematic intensities with the Lorentz-polarization factor, no thermal factor.

Largest 6 diffraction maxima, in order of rising 2θ, 2θ from 15° to 90°:
d = 3.892 Å, 22.85°, I 556; d = 2.635 Å, 34.02°, I 1000; d = 2.152 Å, 41.98°, I 784; d = 2.041 Å, 44.38°, I 438; d = 1.481 Å, 62.73°, I 260; d = 1.199 Å, 80.05°, I 317

Structure:
```
data_Hg2W2Cl
_chemical_formula_sum 'Hg4 W4 Cl2'
_symmetry_space_group_name_H-M 'I 4/m m m'
_symmetry_Int_Tables_number 139
_symmetry_space_group_name_Hall '-I 4 2'
_cell_length_a 4.082
_cell_length_b 4.082
_cell_length_c 12.918
_cell_angle_alpha 90.00
_cell_angle_beta 90.00
_cell_angle_gamma 90.00
loop_
_atom_site_label
_atom_site_type_symbol
_atom_site_fract_x
_atom_site_fract_y
_atom_site_fract_z
Hg1 Hg 0.000 0.500 0.250
W1 W 0.000 0.000 0.090
Cl1 Cl 0.000 0.000 0.500
```



Entry 8:
# HgWCl5
Calculated powder XRD pattern, Cu Kα (weighted mean of Kα1 and Kα2). Input: a cell relaxed with GGA-PBE.
Kinematic intensities with the Lorentz-polarization factor, no thermal factor.

Largest 6 diffraction maxima, in order of rising 2θ, 2θ from 15° to 90°:
d = 5.691 Å, 15.57°, I 1000; d = 5.067 Å, 17.50°, I 617; d = 4.065 Å, 21.87°, I 968; d = 3.784 Å, 23.51°, I 578; d = 3.415 Å, 26.09°, I 432; d = 3.210 Å, 27.79°, I 319

Structure:
```
data_HgWCl5
_chemical_formula_sum 'Hg4 W4 Cl20'
_symmetry_space_group_name_H-M 'C 1 2/c 1'
_symmetry_Int_Tables_number 15
_cell_length_a 12.541
_cell_length_b 10.133
_cell_length_c 8.898
_cell_angle_alpha 90.00
_cell_angle_beta 114.82
_cell_angle_gamma 90.00
loop_
_symmetry_equiv_pos_as_xyz
'x,y,z'
'-x,-y,-z'
'-x,y,-z+1/2'
'x,-y,z+1/2'
'x+1/2,y+1/2,z'
'-x+1/2,-y+1/2,-z'
'-x+1/2,y+1/2,-z+1/2'
'x+1/2,-y+1/2,z+1/2'
loop_
_atom_site_label
_atom_site_type_symbol
_atom_site_fract_x
_atom_site_fract_y
_atom_site_fract_z
Hg1 Hg 0.000 0.019 0.250
W1 W 0.000 0.500 0.000
Cl1 Cl 0.000 0.399 0.250
Cl2 Cl 0.092 0.311 0.971
Cl3 Cl 0.181 0.405 0.652
```



Entry 9:
# YHg2Cl
Calculated powder XRD pattern, Cu Kα (weighted mean of Kα1 and Kα2). Input: a cell relaxed with GGA-PBE.
Kinematic intensities with the Lorentz-polarization factor, no thermal factor.

Largest 6 diffraction maxima, in order of rising 2θ, 2θ from 15° to 90°:
d = 3.085 Å, 28.94°, I 190; d = 3.063 Å, 29.15°, I 370; d = 2.739 Å, 32.70°, I 1000; d = 2.574 Å, 34.85°, I 169; d = 2.354 Å, 38.24°, I 227; d = 1.699 Å, 53.97°, I 243

Structure:
```
data_YHg2Cl
_chemical_formula_sum 'Y2 Hg4 Cl2'
_symmetry_space_group_name_H-M 'C m m 2'
_symmetry_Int_Tables_number 35
_cell_length_a 3.808
_cell_length_b 6.127
_cell_length_c 10.296
_cell_angle_alpha 90.00
_cell_angle_beta 90.00
_cell_angle_gamma 90.00
loop_
_symmetry_equiv_pos_as_xyz
'x,y,z'
'-x,-y,z'
'-x,y,z'
'x,-y,z'
'x+1/2,y+1/2,z'
'-x+1/2,-y+1/2,z'
'-x+1/2,y+1/2,z'
'x+1/2,-y+1/2,z'
loop_
_atom_site_label
_atom_site_type_symbol
_atom_site_fract_x
_atom_site_fract_y
_atom_site_fract_z
Y1 Y 0.000 0.000 0.000
Hg1 Hg 0.000 0.000 0.533
Hg2 Hg 0.000 0.500 0.768
Cl1 Cl 0.000 0.500 0.185
```



Entry 10:
# Y2HgCl
Calculated powder XRD pattern, Cu Kα (weighted mean of Kα1 and Kα2). Input: a cell relaxed with GGA-PBE.
Kinematic intensities with the Lorentz-polarization factor, no thermal factor.

Largest 6 diffraction maxima, in order of rising 2θ, 2θ from 15° to 90°:
d = 5.398 Å, 16.42°, I 616; d = 2.997 Å, 29.81°, I 671; d = 2.699 Å, 33.19°, I 790; d = 2.621 Å, 34.22°, I 1000; d = 2.006 Å, 45.21°, I 426; d = 1.543 Å, 59.96°, I 402

Structure:
```
data_Y2HgCl
_chemical_formula_sum 'Y2 Hg1 Cl1'
_symmetry_space_group_name_H-M 'P 4/m m m'
_symmetry_Int_Tables_number 123
_symmetry_space_group_name_Hall '-P 4 2'
_cell_length_a 5.398
_cell_length_b 5.398
_cell_length_c 3.604
_cell_angle_alpha 90.00
_cell_angle_beta 90.00
_cell_angle_gamma 90.00
loop_
_atom_site_label
_atom_site_type_symbol
_atom_site_fract_x
_atom_site_fract_y
_atom_site_fract_z
Y1 Y 0.000 0.500 0.000
Hg1 Hg 0.000 0.000 0.500
Cl1 Cl 0.500 0.500 0.000
```



Entry 11:
# Y2Hg2Cl
Calculated powder XRD pattern, Cu Kα (weighted mean of Kα1 and Kα2). Input: a cell relaxed with GGA-PBE.
Kinematic intensities with the Lorentz-polarization factor, no thermal factor.

Largest 6 diffraction maxima, in order of rising 2θ, 2θ from 15° to 90°:
d = 5.231 Å, 16.95°, I 173; d = 2.734 Å, 32.76°, I 1000; d = 2.427 Å, 37.04°, I 176; d = 2.339 Å, 38.48°, I 206; d = 1.684 Å, 54.49°, I 229; d = 1.322 Å, 71.35°, I 148

Structure:
```
data_Y2Hg2Cl
_chemical_formula_sum 'Y4 Hg4 Cl2'
_symmetry_space_group_name_H-M 'P 4/m b m'
_symmetry_Int_Tables_number 127
_symmetry_space_group_name_Hall '-P 4 2ab'
_cell_length_a 7.398
_cell_length_b 7.398
_cell_length_c 4.854
_cell_angle_alpha 90.00
_cell_angle_beta 90.00
_cell_angle_gamma 90.00
loop_
_atom_site_label
_atom_site_type_symbol
_atom_site_fract_x
_atom_site_fract_y
_atom_site_fract_z
Y1 Y 0.165 0.335 0.000
Hg1 Hg 0.142 0.642 0.500
Cl1 Cl 0.000 0.000 0.000
```



Entry 12:
# ZnHg3Cl8
Calculated powder XRD pattern, Cu Kα (weighted mean of Kα1 and Kα2). Input: a cell relaxed with GGA-PBE.
Kinematic intensities with the Lorentz-polarization factor, no thermal factor.

Largest 6 diffraction maxima, in order of rising 2θ, 2θ from 15° to 90°:
d = 3.428 Å, 26.00°, I 412; d = 3.275 Å, 27.23°, I 835; d = 2.898 Å, 30.86°, I 593; d = 2.704 Å, 33.13°, I 1000; d = 1.967 Å, 46.16°, I 377; d = 1.912 Å, 47.54°, I 567

Structure:
```
data_ZnHg3Cl8
_chemical_formula_sum 'Zn2 Hg6 Cl16'
_symmetry_space_group_name_H-M 'C 1 2/m 1'
_symmetry_Int_Tables_number 12
_cell_length_a 13.791
_cell_length_b 7.650
_cell_length_c 7.648
_cell_angle_alpha 90.00
_cell_angle_beta 122.81
_cell_angle_gamma 90.00
loop_
_symmetry_equiv_pos_as_xyz
'x,y,z'
'-x,-y,-z'
'-x,y,-z'
'x,-y,z'
'x+1/2,y+1/2,z'
'-x+1/2,-y+1/2,-z'
'-x+1/2,y+1/2,-z'
'x+1/2,-y+1/2,z'
loop_
_atom_site_label
_atom_site_type_symbol
_atom_site_fract_x
_atom_site_fract_y
_atom_site_fract_z
Zn1 Zn 0.000 0.000 0.000
Hg1 Hg 0.000 0.500 0.000
Hg2 Hg 0.250 0.250 0.000
Cl1 Cl 0.006 0.234 0.778
Cl2 Cl 0.222 0.000 0.219
Cl3 Cl 0.242 0.500 0.231
```